MgTi2Mn2O6: calculated powder diffractogram (Cu Kα, 1.54184 Å), based on the GGA+U geometry in the Materials Project.
Lines closer than 0.1° are merged.

Lattice parameters (Å, degrees): 3.050 5.565 7.880 106.75 100.34 90.31
Space group P-1 (No. 2)
Symmetry-distinct sites (fractional):
Mg  0.000  0.000  0.000 x1
Ti  0.341  0.987  0.652 x2
Mn  0.139  0.494  0.288 x2
O  0.096  0.820  0.201 x2
O  0.236  0.251  0.501 x2
O  0.419  0.775  0.831 x2

Largest 10 diffraction maxima, most intense first, 5° ≤ 2θ ≤ 70°:
2θ = 11.9°, intensity 100; 2θ = 40.8°, intensity 100; 2θ = 41.1°, intensity 96; 2θ = 42.0°, intensity 84; 2θ = 24.0°, intensity 64; 2θ = 33.7°, intensity 50; 2θ = 35.3°, intensity 39; 2θ = 36.3°, intensity 39; 2θ = 60.7°, intensity 31; 2θ = 58.5°, intensity 30